[1]
Simulated powder diffraction line list
Compound: Ta3In2S6
Radiation: Cu Kα X-rays
Structure: a GGA-PBE-relaxed structure
Peak positions follow from Bragg's law for the DFT cell and can differ from measured ones.

Structural model:
```
data_Ta3In2S6
_space_group_name_H-M_alt 'R 3 2'
_space_group_IT_number 155
_space_group_name_Hall 'R 3 2"'
_cell_length_a 5.8265
_cell_length_b 5.8265
_cell_length_c 24.1628
_cell_angle_alpha 90.00
_cell_angle_beta 90.00
_cell_angle_gamma 120.00
loop_
_atom_site_label
_atom_site_type_symbol
_atom_site_fract_x
_atom_site_fract_y
_atom_site_fract_z
Ta1 Ta 0.0000 0.0000 0.0000
Ta2 Ta 0.0000 0.0000 0.3334
In1 In 0.0000 0.0000 0.1666
S1 S 0.0001 0.3327 0.3976
```

Largest 12 diffraction maxima, by intensity, 5° ≤ 2θ ≤ 70°:
- 2.360 Å, I = 100.0
- 8.054 Å, I = 62.8
- 2.913 Å, I = 58.7
- 4.027 Å, I = 34.4
- 1.656 Å, I = 26.9
- 1.682 Å, I = 22.1
- 1.370 Å, I = 17.7
- 2.740 Å, I = 15.4
- 1.552 Å, I = 14.9
- 1.974 Å, I = 13.9
- 2.014 Å, I = 9.7
- 1.457 Å, I = 7.3


[2]
Simulated powder diffraction line list
Compound: TaInS2
Radiation: Cu Kα X-rays
Structure: a GGA-PBE-relaxed structure
Peak positions follow from Bragg's law for the DFT cell and can differ from measured ones.

Structural model:
```
data_TaInS2
_space_group_name_H-M_alt 'R -3 m'
_space_group_IT_number 166
_space_group_name_Hall '-R 3 2"'
_cell_length_a 3.3256
_cell_length_b 3.3256
_cell_length_c 26.9385
_cell_angle_alpha 90.00
_cell_angle_beta 90.00
_cell_angle_gamma 120.00
loop_
_atom_site_label
_atom_site_type_symbol
_atom_site_fract_x
_atom_site_fract_y
_atom_site_fract_z
Ta1 Ta 0.0000 0.0000 0.0000
In1 In 0.0000 0.0000 0.5000
S1 S 0.0000 0.0000 0.2746
```

Largest 12 diffraction maxima, by intensity, 5° ≤ 2θ ≤ 70°:
- 2.648 Å, I = 100.0
- 4.490 Å, I = 66.2
- 2.816 Å, I = 51.8
- 2.189 Å, I = 47.5
- 8.980 Å, I = 41.8
- 1.967 Å, I = 29.7
- 1.663 Å, I = 25.6
- 1.559 Å, I = 21.8
- 1.600 Å, I = 19.2
- 1.408 Å, I = 13.7
- 2.245 Å, I = 13.1
- 1.454 Å, I = 7.9


[3]
Simulated powder diffraction line list
Compound: Tb3In5S12
Radiation: Cu Kα X-rays
Structure: a GGA-PBE-relaxed structure
Peak positions follow from Bragg's law for the DFT cell and can differ from measured ones.

Structural model:
```
data_Tb3In5S12
_space_group_name_H-M_alt 'P 1 21/m 1'
_space_group_IT_number 11
_space_group_name_Hall '-P 2yb'
_cell_length_a 11.0091
_cell_length_b 3.9225
_cell_length_c 21.4760
_cell_angle_alpha 90.00
_cell_angle_beta 95.79
_cell_angle_gamma 90.00
loop_
_atom_site_label
_atom_site_type_symbol
_atom_site_fract_x
_atom_site_fract_y
_atom_site_fract_z
Tb1 Tb 0.0289 0.2500 0.4120
Tb2 Tb 0.0846 0.7500 0.7643
Tb3 Tb 0.2863 0.7500 0.2852
In1 In 0.1676 0.7500 0.1137
In2 In 0.2385 0.2500 0.9400
In3 In 0.3491 0.7500 0.4724
In4 In 0.3504 0.2500 0.6663
In5 In 0.4544 0.7500 0.8246
S1 S 0.0367 0.7500 0.3160
S2 S 0.0589 0.2500 0.8581
S3 S 0.1233 0.7500 0.4909
S4 S 0.1342 0.2500 0.0376
S5 S 0.1644 0.2500 0.2111
S6 S 0.2005 0.7500 0.6508
S7 S 0.2777 0.2500 0.3869
S8 S 0.2894 0.2500 0.7820
S9 S 0.3794 0.7500 0.9371
S10 S 0.3923 0.7500 0.1605
S11 S 0.4207 0.2500 0.5520
S12 S 0.4863 0.2500 0.2907
```

Largest 12 diffraction maxima, by intensity, 5° ≤ 2θ ≤ 70°:
- 3.492 Å, I = 100.0
- 3.660 Å, I = 78.7
- 1.961 Å, I = 73.2
- 3.527 Å, I = 69.8
- 2.089 Å, I = 66.7
- 2.748 Å, I = 56.2
- 3.127 Å, I = 50.4
- 10.683 Å, I = 50.0
- 4.144 Å, I = 49.8
- 2.011 Å, I = 49.2
- 2.637 Å, I = 46.4
- 3.162 Å, I = 44.9


[4]
Simulated powder diffraction line list
Compound: In2Te5S12
Radiation: Cu Kα X-rays
Structure: a GGA-PBE-relaxed structure
Peak positions follow from Bragg's law for the DFT cell and can differ from measured ones.

Structural model:
```
data_In2Te5S12
_space_group_name_H-M_alt 'P -1'
_space_group_IT_number 2
_space_group_name_Hall '-P 1'
_cell_length_a 6.2151
_cell_length_b 7.2882
_cell_length_c 14.8135
_cell_angle_alpha 94.32
_cell_angle_beta 95.10
_cell_angle_gamma 95.89
loop_
_atom_site_label
_atom_site_type_symbol
_atom_site_fract_x
_atom_site_fract_y
_atom_site_fract_z
In1 In 0.2297 0.4967 0.0108
Te1 Te 0.0340 0.2395 0.4414
Te2 Te 0.1474 0.9797 0.9060
Te3 Te 0.5000 0.0000 0.5000
S1 S 0.1496 0.2709 0.1536
S2 S 0.1924 0.1623 0.5821
S3 S 0.2907 0.6576 0.5154
S4 S 0.3334 0.8279 0.7737
S5 S 0.3563 0.0883 0.2243
S6 S 0.4396 0.3112 0.9075
```

Largest 12 diffraction maxima, by intensity, 5° ≤ 2θ ≤ 70°:
- 7.351 Å, I = 100.0
- 6.275 Å, I = 28.0
- 3.449 Å, I = 26.6
- 3.579 Å, I = 21.7
- 2.852 Å, I = 20.2
- 2.983 Å, I = 18.3
- 4.673 Å, I = 15.9
- 2.462 Å, I = 15.7
- 3.521 Å, I = 14.8
- 3.395 Å, I = 14.5
- 3.904 Å, I = 14.3
- 1.940 Å, I = 13.3


[5]
Simulated powder diffraction line list
Compound: InTeS5
Radiation: Cu Kα X-rays
Structure: a GGA-PBE-relaxed structure
Peak positions follow from Bragg's law for the DFT cell and can differ from measured ones.

Structural model:
```
data_InTeS5
_space_group_name_H-M_alt 'C 1 2/c 1'
_space_group_IT_number 15
_space_group_name_Hall '-C 2yc'
_cell_length_a 19.1871
_cell_length_b 10.2666
_cell_length_c 3.6632
_cell_angle_alpha 90.00
_cell_angle_beta 100.92
_cell_angle_gamma 90.00
loop_
_atom_site_label
_atom_site_type_symbol
_atom_site_fract_x
_atom_site_fract_y
_atom_site_fract_z
In1 In 0.2500 0.2500 0.0000
Te1 Te 0.0000 0.2206 0.2500
S1 S 0.0000 0.3795 0.7500
S2 S 0.1108 0.0584 0.8607
S3 S 0.1995 0.3932 0.4501
```

Largest 12 diffraction maxima, by intensity, 5° ≤ 2θ ≤ 70°:
- 3.470 Å, I = 100.0
- 2.417 Å, I = 92.7
- 4.710 Å, I = 74.8
- 3.240 Å, I = 69.2
- 2.322 Å, I = 51.7
- 5.133 Å, I = 43.8
- 2.694 Å, I = 31.6
- 1.956 Å, I = 20.9
- 1.620 Å, I = 20.6
- 3.537 Å, I = 19.6
- 1.654 Å, I = 17.4
- 1.832 Å, I = 16.8


[6]
Simulated powder diffraction line list
Compound: InTeS6
Radiation: Cu Kα X-rays
Structure: a GGA-PBE-relaxed structure
Peak positions follow from Bragg's law for the DFT cell and can differ from measured ones.

Structural model:
```
data_InTeS6
_space_group_name_H-M_alt 'P -1'
_space_group_IT_number 2
_space_group_name_Hall '-P 1'
_cell_length_a 4.0320
_cell_length_b 7.6856
_cell_length_c 8.0106
_cell_angle_alpha 62.77
_cell_angle_beta 89.95
_cell_angle_gamma 75.32
loop_
_atom_site_label
_atom_site_type_symbol
_atom_site_fract_x
_atom_site_fract_y
_atom_site_fract_z
In1 In 0.0000 0.0000 0.0000
Te1 Te 0.0000 0.0000 0.5000
S1 S 0.1068 0.7758 0.3457
S2 S 0.3748 0.2589 0.2617
S3 S 0.3768 0.2546 0.0136
```

Largest 12 diffraction maxima, by intensity, 5° ≤ 2θ ≤ 70°:
- 6.552 Å, I = 100.0
- 2.979 Å, I = 23.3
- 2.947 Å, I = 22.7
- 3.302 Å, I = 19.2
- 3.842 Å, I = 18.6
- 3.865 Å, I = 18.5
- 3.530 Å, I = 17.8
- 2.631 Å, I = 15.9
- 3.994 Å, I = 15.4
- 2.016 Å, I = 14.8
- 2.445 Å, I = 13.0
- 2.185 Å, I = 12.2


[7]
Simulated powder diffraction line list
Compound: InTeS4
Radiation: Cu Kα X-rays
Structure: a GGA-PBE-relaxed structure
Peak positions follow from Bragg's law for the DFT cell and can differ from measured ones.

Structural model:
```
data_InTeS4
_space_group_name_H-M_alt 'I m m a'
_space_group_IT_number 74
_space_group_name_Hall '-I 2b 2'
_cell_length_a 7.0625
_cell_length_b 7.1716
_cell_length_c 11.9836
_cell_angle_alpha 90.00
_cell_angle_beta 90.00
_cell_angle_gamma 90.00
loop_
_atom_site_label
_atom_site_type_symbol
_atom_site_fract_x
_atom_site_fract_y
_atom_site_fract_z
In1 In 0.0000 0.0000 0.0000
Te1 Te 0.2500 0.2500 0.2500
S1 S 0.0000 0.1096 0.7721
S2 S 0.2414 0.2500 0.4669
```

Largest 12 diffraction maxima, by intensity, 5° ≤ 2θ ≤ 70°:
- 6.084 Å, I = 100.0
- 3.063 Å, I = 82.0
- 2.516 Å, I = 74.4
- 2.996 Å, I = 70.2
- 6.154 Å, I = 58.4
- 1.927 Å, I = 56.4
- 3.089 Å, I = 38.6
- 3.077 Å, I = 35.0
- 1.911 Å, I = 27.8
- 2.271 Å, I = 25.2
- 2.344 Å, I = 22.4
- 1.766 Å, I = 21.7


[8]
Simulated powder diffraction line list
Compound: InTe2S5
Radiation: Cu Kα X-rays
Structure: a GGA-PBE-relaxed structure
Peak positions follow from Bragg's law for the DFT cell and can differ from measured ones.

Structural model:
```
data_InTe2S5
_space_group_name_H-M_alt 'C 1 m 1'
_space_group_IT_number 8
_space_group_name_Hall 'C -2y'
_cell_length_a 12.6066
_cell_length_b 7.1065
_cell_length_c 6.9556
_cell_angle_alpha 90.00
_cell_angle_beta 103.42
_cell_angle_gamma 90.00
loop_
_atom_site_label
_atom_site_type_symbol
_atom_site_fract_x
_atom_site_fract_y
_atom_site_fract_z
In1 In 0.0000 0.0000 0.0000
Te1 Te 0.0014 0.0000 0.5001
Te2 Te 0.1146 0.5000 0.1227
S1 S 0.1363 0.2450 0.9120
S2 S 0.3578 0.5000 0.6703
S3 S 0.4521 0.2574 0.2519
```

Largest 12 diffraction maxima, by intensity, 5° ≤ 2θ ≤ 70°:
- 6.139 Å, I = 100.0
- 3.546 Å, I = 36.0
- 2.420 Å, I = 21.5
- 2.828 Å, I = 17.8
- 6.766 Å, I = 15.6
- 4.095 Å, I = 12.7
- 2.232 Å, I = 12.6
- 3.074 Å, I = 12.5
- 2.450 Å, I = 12.1
- 2.318 Å, I = 11.3
- 1.775 Å, I = 10.7
- 2.093 Å, I = 9.6


Question: Number 5 is which compound?
Answer: InTeS5


Please write out number 3 again, unchanged.
Simulated powder diffraction line list
Compound: Tb3In5S12
Radiation: Cu Kα X-rays
Structure: a GGA-PBE-relaxed structure
Peak positions follow from Bragg's law for the DFT cell and can differ from measured ones.

Structural model:
```
data_Tb3In5S12
_space_group_name_H-M_alt 'P 1 21/m 1'
_space_group_IT_number 11
_space_group_name_Hall '-P 2yb'
_cell_length_a 11.0091
_cell_length_b 3.9225
_cell_length_c 21.4760
_cell_angle_alpha 90.00
_cell_angle_beta 95.79
_cell_angle_gamma 90.00
loop_
_atom_site_label
_atom_site_type_symbol
_atom_site_fract_x
_atom_site_fract_y
_atom_site_fract_z
Tb1 Tb 0.0289 0.2500 0.4120
Tb2 Tb 0.0846 0.7500 0.7643
Tb3 Tb 0.2863 0.7500 0.2852
In1 In 0.1676 0.7500 0.1137
In2 In 0.2385 0.2500 0.9400
In3 In 0.3491 0.7500 0.4724
In4 In 0.3504 0.2500 0.6663
In5 In 0.4544 0.7500 0.8246
S1 S 0.0367 0.7500 0.3160
S2 S 0.0589 0.2500 0.8581
S3 S 0.1233 0.7500 0.4909
S4 S 0.1342 0.2500 0.0376
S5 S 0.1644 0.2500 0.2111
S6 S 0.2005 0.7500 0.6508
S7 S 0.2777 0.2500 0.3869
S8 S 0.2894 0.2500 0.7820
S9 S 0.3794 0.7500 0.9371
S10 S 0.3923 0.7500 0.1605
S11 S 0.4207 0.2500 0.5520
S12 S 0.4863 0.2500 0.2907
```

Largest 12 diffraction maxima, by intensity, 5° ≤ 2θ ≤ 70°:
- 3.492 Å, I = 100.0
- 3.660 Å, I = 78.7
- 1.961 Å, I = 73.2
- 3.527 Å, I = 69.8
- 2.089 Å, I = 66.7
- 2.748 Å, I = 56.2
- 3.127 Å, I = 50.4
- 10.683 Å, I = 50.0
- 4.144 Å, I = 49.8
- 2.011 Å, I = 49.2
- 2.637 Å, I = 46.4
- 3.162 Å, I = 44.9


Question: Number 3 is which compound?
Answer: Tb3In5S12